The following is a theoretical X-ray diffraction stick pattern of LaPrZnSb. It was derived from DFT lattice parameters and positions (GGA-PBE), using Cu Kα, 1.54184 Å.
Peak positions follow from Bragg's law for the DFT cell and can differ from measured ones.

Cell and atoms:
Unit cell a=7.675 b=7.675 c=7.675 alpha=90.00 beta=90.00 gamma=90.00
Space group F-43m (No. 216)
Unique sites:
La1 0.000 0.000 0.000
Pr1 0.000 0.000 0.500
Zn1 0.250 0.250 0.250
Sb1 0.250 0.250 0.750

Most intense lines, 2θ from 10° to 90°, in order of falling intensity:
- (2 2 0), 33.0°, I 1000
- (4 2 2), 59.0°, I 371
- (4 0 0), 47.4°, I 180
- (6 2 0), 78.9°, I 157
- (4 4 0), 69.3°, I 114
- (4 4 4), 88.2°, I 41



The following is a theoretical X-ray diffraction stick pattern of LaPr12Sc3. It was derived from DFT lattice parameters and positions (GGA-PBE), using Cu Kα, 1.54184 Å.
Peak positions follow from Bragg's law for the DFT cell and can differ from measured ones.

Cell and atoms:
Unit cell a=5.125 b=5.125 c=20.568 alpha=90.00 beta=90.00 gamma=90.00
Space group P4/mmm (No. 123)
Unique sites:
La1 0.000 0.000 0.000
Pr1 0.000 0.500 0.132
Pr2 0.000 0.500 0.377
Pr3 0.500 0.500 0.000
Pr4 0.500 0.500 0.255
Pr5 0.500 0.500 0.500
Sc1 0.000 0.000 0.254
Sc2 0.000 0.000 0.500

Most intense lines, 2θ from 10° to 90°, in order of falling intensity:
- (1 1 4), 30.2°, I 1000
- (2 2 0), 50.3°, I 351
- (2 0 0), 35.0°, I 340
- (3 1 4), 59.8°, I 281
- (0 0 8), 34.9°, I 164
- (1 1 12), 59.7°, I 129



The following is a theoretical X-ray diffraction stick pattern of LaPr8Sc2. It was derived from DFT lattice parameters and positions (GGA-PBE), using Cu Kα, 1.54184 Å.
Peak positions follow from Bragg's law for the DFT cell and can differ from measured ones.

Cell and atoms:
Unit cell a=9.116 b=16.460 c=6.000 alpha=90.00 beta=122.64 gamma=90.00
Space group C2/m (No. 12)
Unique sites:
La1 0.000 0.000 0.000
Pr1 0.000 0.208 0.000
Pr2 0.080 0.500 0.795
Pr3 0.219 0.122 0.676
Sc1 0.000 0.311 0.500

Most intense lines, 2θ from 10° to 90°, in order of falling intensity:
- (1 5 -1), 31.1°, I 1000
- (3 1 -1), 29.9°, I 962
- (2 4 0), 31.9°, I 887
- (1 1 -2), 31.2°, I 552
- (0 4 1), 28.0°, I 501
- (1 3 1), 30.6°, I 448



The following is a theoretical X-ray diffraction stick pattern of La3Pr4Sc. It was derived from DFT lattice parameters and positions (GGA-PBE), using Cu Kα, 1.54184 Å.
Peak positions follow from Bragg's law for the DFT cell and can differ from measured ones.

Cell and atoms:
Unit cell a=24.577 b=3.697 c=6.352 alpha=90.00 beta=104.87 gamma=90.00
Space group C2/m (No. 12)
Unique sites:
La1 0.000 0.000 0.000
La2 0.249 0.500 0.749
Pr1 0.121 0.000 0.459
Pr2 0.124 0.500 0.958
Sc1 0.000 0.500 0.500

Most intense lines, 2θ from 10° to 90°, in order of falling intensity:
- (5 1 -1), 31.8°, I 1000
- (1 1 1), 28.9°, I 563
- (8 0 0), 30.1°, I 534
- (2 0 2), 32.0°, I 459
- (5 1 3), 59.1°, I 310
- (7 1 -1), 36.1°, I 301



The following is a theoretical X-ray diffraction stick pattern of La8Pr6Sc. It was derived from DFT lattice parameters and positions (GGA-PBE), using Cu Kα, 1.54184 Å.
Peak positions follow from Bragg's law for the DFT cell and can differ from measured ones.

Cell and atoms:
Unit cell a=9.3551 b=9.3551 c=21.3214 alpha=90.00 beta=90.00 gamma=120.00
Space group R-3 (No. 148, hexagonal axes)
Unique sites:
La1 0.0000 0.0000 0.0775
La2 0.0806 0.5654 0.3058
Pr1 0.0501 0.2500 0.2062
Sc1 0.0000 0.0000 0.5000

Most intense lines, 2θ from 10° to 90°, in order of falling intensity:
- (2 0 5), 30.4°, I 1000
- (3 -1 1), 29.5°, I 415
- (1 0 7), 31.4°, I 303
- (1 1 6), 31.6°, I 202
- (5 -1 3), 53.4°, I 181
- (0 3 3), 35.6°, I 138



The following is a theoretical X-ray diffraction stick pattern of La8Pr4Sc. It was derived from DFT lattice parameters and positions (GGA-PBE), using Cu Kα, 1.54184 Å.
Peak positions follow from Bragg's law for the DFT cell and can differ from measured ones.

Cell and atoms:
Unit cell a=11.9278 b=11.9278 c=11.8041 alpha=90.00 beta=90.00 gamma=120.00
Space group R-3m (No. 166, hexagonal axes)
Unique sites:
La1 0.0000 0.0000 0.2437
La2 0.0002 0.5001 0.3294
Pr1 0.0000 0.0000 0.0000
Pr2 0.0000 0.5000 0.0000
Sc1 0.0000 0.0000 0.5000

Most intense lines, 2θ from 10° to 90°, in order of falling intensity:
- (2 2 0), 30.0°, I 1000
- (2 2 3), 37.9°, I 627
- (0 0 3), 22.6°, I 398
- (6 0 0), 53.2°, I 199
- (6 0 3), 58.5°, I 176
- (2 2 6), 56.0°, I 157



Repeat the first record exactly.
The following is a theoretical X-ray diffraction stick pattern of LaPrZnSb. It was derived from DFT lattice parameters and positions (GGA-PBE), using Cu Kα, 1.54184 Å.
Peak positions follow from Bragg's law for the DFT cell and can differ from measured ones.

Cell and atoms:
Unit cell a=7.675 b=7.675 c=7.675 alpha=90.00 beta=90.00 gamma=90.00
Space group F-43m (No. 216)
Unique sites:
La1 0.000 0.000 0.000
Pr1 0.000 0.000 0.500
Zn1 0.250 0.250 0.250
Sb1 0.250 0.250 0.750

Most intense lines, 2θ from 10° to 90°, in order of falling intensity:
- (2 2 0), 33.0°, I 1000
- (4 2 2), 59.0°, I 371
- (4 0 0), 47.4°, I 180
- (6 2 0), 78.9°, I 157
- (4 4 0), 69.3°, I 114
- (4 4 4), 88.2°, I 41